The following is a simulated powder XRD pattern of RbB5H8O12. It was derived from a structure optimized by DFT (PBE), using Cu Kα.
Peak positions follow from Bragg's law for the DFT cell and can differ from measured ones.

Structural model:
```
RbB5H8O12
1.0
13.972 0.000 0.000
0.000 6.391 5.791
0.000 -6.391 5.791
Rb B H O
2 10 16 24
Cartesian
0.000 0.000 0.000
6.986 0.000 5.791
0.000 0.000 3.785
2.138 -0.977 2.878
2.133 0.637 4.470
4.848 -0.977 8.668
4.853 0.637 10.260
6.986 0.000 9.576
9.124 0.977 8.668
9.120 -0.637 10.260
11.834 0.977 2.878
11.839 -0.637 4.470
0.043 3.550 7.376
0.158 -1.193 7.393
0.161 1.572 6.827
2.702 -1.715 2.127
4.284 -1.715 7.917
6.826 -4.818 6.827
6.828 -1.193 1.602
6.944 -2.841 7.376
7.029 2.841 7.376
7.144 1.193 1.602
7.147 4.818 6.827
9.689 1.715 7.917
11.270 1.715 2.127
13.812 -1.572 6.827
13.815 1.193 7.393
13.930 -3.550 7.376
0.226 3.827 6.460
0.808 -0.875 2.941
0.884 0.843 4.687
1.231 -2.522 9.192
1.743 -1.534 9.736
2.936 -0.099 3.728
4.050 -0.099 9.519
5.243 -1.534 3.946
5.755 -2.522 3.402
6.102 0.843 10.478
6.178 -0.875 8.732
6.761 -2.563 6.460
7.212 2.563 6.460
7.795 0.875 8.732
7.871 -0.843 10.478
8.218 2.522 3.402
8.729 1.534 3.946
9.922 0.099 9.519
11.036 0.099 3.728
12.229 1.534 9.736
12.741 2.522 9.192
13.088 -0.843 4.687
13.164 0.875 2.941
13.747 -3.827 6.460
```

Most intense lines, 15° ≤ 2θ ≤ 90°, low angle first:
- 2θ = 15.28°, d 5.797, I = 87.7
- 2θ = 16.36°, d 5.418, I = 56.4
- 2θ = 19.92°, d 4.458, I = 63.3
- 2θ = 21.70°, d 4.096, I = 100.0
- 2θ = 24.34°, d 3.656, I = 46.7
- 2θ = 24.92°, d 3.573, I = 64.8
- 2θ = 29.87°, d 2.991, I = 44.6
- 2θ = 30.89°, d 2.895, I = 48.8
- 2θ = 31.94°, d 2.802, I = 75.7
- 2θ = 40.47°, d 2.229, I = 46.7